# 1
YSc2Bi3: theoretical X-ray diffraction stick pattern (Cu Kα), based on the GGA-PBE geometry in Alexandria.
Neutral-atom scattering factors, no anomalous dispersion.

Main lines, sorted by position (10 to 90 degrees two-theta):
2θ = 25.12°, intensity 56; 2θ = 29.08°, intensity 100; 2θ = 41.57°, intensity 64; 2θ = 41.72°, intensity 13; 2θ = 49.16°, intensity 20; 2θ = 51.48°, intensity 14; 2θ = 51.62°, intensity 13; 2θ = 68.19°, intensity 12; 2θ = 68.31°, intensity 17; 2θ = 75.81°, intensity 13

Cell and atoms:
Cell: 6.1541 13.0386 8.6595 Å, 90.00 90.00 90.00°
Fractional coordinates of all 24 atoms:
Y 0.2503 0.0784 0.1261
Y 0.2503 0.4216 0.6261
Y 0.7497 0.5784 0.3739
Y 0.7497 0.9216 0.8739
Sc 0.2489 0.7435 0.6255
Sc 0.2489 0.7565 0.1255
Sc 0.2504 0.0856 0.6251
Sc 0.2504 0.4144 0.1251
Sc 0.7496 0.5856 0.8749
Sc 0.7496 0.9144 0.3749
Sc 0.7511 0.2435 0.8745
Sc 0.7511 0.2565 0.3745
Bi 0.2497 0.5874 0.3637
Bi 0.2496 0.5880 0.8869
Bi 0.2496 0.9120 0.3869
Bi 0.2497 0.9126 0.8637
Bi 0.2509 0.2493 0.8754
Bi 0.2509 0.2507 0.3754
Bi 0.7491 0.7493 0.6246
Bi 0.7491 0.7507 0.1246
Bi 0.7503 0.0874 0.1363
Bi 0.7504 0.0880 0.6131
Bi 0.7504 0.4120 0.1131
Bi 0.7503 0.4126 0.6363

=====

# 2
Li3Mg4In2: theoretical X-ray diffraction stick pattern (Cu Kα), based on the GGA-PBE geometry in Alexandria.
Neutral-atom scattering factors, no anomalous dispersion.

Main lines, sorted by position (10 to 90 degrees two-theta):
2θ = 19.76°, intensity 38; 2θ = 21.00°, intensity 16; 2θ = 23.24°, intensity 94; 2θ = 28.99°, intensity 12; 2θ = 36.77°, intensity 100; 2θ = 36.84°, intensity 19; 2θ = 42.08°, intensity 22; 2θ = 53.04°, intensity 14; 2θ = 66.17°, intensity 14; 2θ = 66.28°, intensity 26

Cell and atoms:
Cell: 4.8887 4.8887 8.9859 Å, 90.11 90.11 59.87°
Fractional coordinates of all 9 atoms:
Li 0.0000 0.0000 0.0000
Li 0.3330 0.3330 0.4510
Li 0.6670 0.6670 0.5490
Mg 0.9998 0.9998 0.3323
Mg 0.0002 0.0002 0.6677
Mg 0.3333 0.3333 0.1114
Mg 0.6667 0.6667 0.8886
In 0.3335 0.3335 0.7742
In 0.6665 0.6665 0.2258

=====

# 3
Pu2AlGa4Ni3: theoretical X-ray diffraction stick pattern (Cu Kα), based on the GGA-PBE geometry in Alexandria.
Neutral-atom scattering factors, no anomalous dispersion.

Main lines, sorted by position (10 to 90 degrees two-theta):
2θ = 16.43°, intensity 20; 2θ = 23.78°, intensity 32; 2θ = 31.72°, intensity 31; 2θ = 33.55°, intensity 75; 2θ = 35.93°, intensity 100; 2θ = 45.48°, intensity 44; 2θ = 47.94°, intensity 38; 2θ = 57.69°, intensity 32; 2θ = 68.21°, intensity 26; 2θ = 77.75°, intensity 21

Cell and atoms:
Cell: 3.9889 3.9889 10.7879 Å, 90.00 90.00 90.00°
Fractional coordinates of all 10 atoms:
Pu 0.0000 0.5000 0.2384
Pu 0.5000 0.0000 0.7616
Al 0.0000 0.0000 0.5000
Ga 0.0000 0.0000 0.0000
Ga 0.0000 0.5000 0.6439
Ga 0.5000 0.0000 0.3561
Ga 0.5000 0.5000 0.0000
Ni 0.0000 0.5000 0.8662
Ni 0.5000 0.0000 0.1338
Ni 0.5000 0.5000 0.5000

=====

# 4
HPdAu2: theoretical X-ray diffraction stick pattern (Cu Kα), based on the GGA-PBE geometry in Alexandria.
Neutral-atom scattering factors, no anomalous dispersion.

Main lines, sorted by position (10 to 90 degrees two-theta):
2θ = 35.55°, intensity 100; 2θ = 39.63°, intensity 38; 2θ = 39.98°, intensity 37; 2θ = 40.55°, intensity 70; 2θ = 49.91°, intensity 19; 2θ = 52.37°, intensity 17; 2θ = 65.93°, intensity 17; 2θ = 66.43°, intensity 16; 2θ = 67.62°, intensity 16; 2θ = 67.86°, intensity 16

Cell and atoms:
Cell: 5.9202 5.9202 2.8853 Å, 103.62 103.62 34.33°
Fractional coordinates of all 4 atoms:
H 0.0000 0.0000 0.0000
Pd 0.5000 0.5000 0.0000
Au 0.1687 0.1687 0.6684
Au 0.8313 0.8313 0.3316